Entry 1:
TlCu2Hg: calculated PXRD pattern (Cu Kα), based on a cell relaxed with GGA-PBE.

Structure:
```
TlCu2Hg
1.0
3.2886 0.0000 0.0000
0.0000 3.4705 0.0000
-0.3507 0.0000 6.5175
Tl Cu Hg
1 2 1
Direct
0.0000 0.0000 0.0000 Tl
0.4786 0.5000 0.2867 Cu
0.5214 0.5000 0.7133 Cu
0.0000 0.0000 0.5000 Hg
```

Main lines, by angle (2θ from 10° to 80°):
25.67°, I = 22
27.15°, I = 20
27.37°, I = 21
37.71°, I = 72
37.86°, I = 100
40.01°, I = 30
46.28°, I = 12
52.75°, I = 14
66.73°, I = 12
68.18°, I = 23

Entry 2:
Tm3Cu2Hg4: calculated PXRD pattern (Cu Kα), based on a cell relaxed with GGA-PBE.

Structure:
```
Tm3Cu2Hg4
1.0
5.3651 -2.3580 0.0000
5.3651 2.3580 0.0000
-4.0930 0.0000 7.7283
Tm Cu Hg
3 2 4
Direct
0.0000 0.0000 0.0000 Tm
0.3309 0.3309 0.3429 Tm
0.6691 0.6691 0.6571 Tm
0.4001 0.4001 0.7250 Cu
0.5999 0.5999 0.2750 Cu
0.0566 0.0566 0.3802 Hg
0.2904 0.2904 0.9395 Hg
0.7096 0.7096 0.0605 Hg
0.9434 0.9434 0.6198 Hg
```

Main lines, by angle (2θ from 10° to 80°):
33.97°, I = 28
34.15°, I = 71
34.58°, I = 59
34.83°, I = 32
38.17°, I = 53
38.27°, I = 100
51.99°, I = 24
52.62°, I = 20
67.36°, I = 26
68.06°, I = 19

Entry 3:
Tm7Cu2Hg2: calculated PXRD pattern (Cu Kα), based on a cell relaxed with GGA-PBE.

Structure:
```
Tm7Cu2Hg2
1.0
3.8826 -5.4660 0.0000
3.8826 5.4660 0.0000
0.0000 0.0000 6.9836
Tm Cu Hg
7 2 2
Direct
0.0000 0.0000 0.0000 Tm
0.0000 0.5000 0.2567 Tm
0.0000 0.5000 0.7433 Tm
0.5000 0.0000 0.2567 Tm
0.5000 0.0000 0.7433 Tm
0.5000 0.5000 0.2440 Tm
0.5000 0.5000 0.7560 Tm
0.2973 0.7027 0.0000 Cu
0.7027 0.2973 0.0000 Cu
0.1832 0.1832 0.5000 Hg
0.8168 0.8168 0.5000 Hg
```

Main lines, by angle (2θ from 10° to 80°):
26.26°, I = 34
28.19°, I = 48
29.21°, I = 54
30.38°, I = 39
32.77°, I = 68
37.51°, I = 43
38.38°, I = 100
52.41°, I = 20
62.25°, I = 20
63.20°, I = 21

Entry 4:
Tm3Cu8Hg: calculated PXRD pattern (Cu Kα), based on a cell relaxed with GGA-PBE.

Structure:
```
Tm3Cu8Hg
1.0
2.5709 1.4843 8.4454
-2.5709 1.4843 8.4454
0.0000 -2.9686 8.4454
Tm Cu Hg
3 8 1
Direct
0.0000 0.0000 0.0000 Tm
0.1273 0.1273 0.1273 Tm
0.6147 0.6147 0.6147 Tm
0.0556 0.5591 0.5591 Cu
0.0566 0.0566 0.5663 Cu
0.0566 0.5663 0.0566 Cu
0.3082 0.3082 0.3082 Cu
0.5591 0.0556 0.5591 Cu
0.5591 0.5591 0.0556 Cu
0.5663 0.0566 0.0566 Cu
0.8092 0.8092 0.8092 Cu
0.4928 0.4928 0.4928 Hg
```

Main lines, by angle (2θ from 10° to 80°):
21.15°, I = 15
34.76°, I = 42
34.90°, I = 44
40.98°, I = 32
41.13°, I = 100
43.06°, I = 15
62.52°, I = 24
66.76°, I = 30
73.37°, I = 13
73.70°, I = 15